[1]
Theoretical PXRD pattern
Compound: LaMn9Si4
Radiation: Cu Ka
Structure: a DFT-relaxed cell (GGA-PBE, Alexandria)
Peak positions follow from Bragg's law for the DFT cell and can differ from measured ones.

Crystal structure
```
data_LaMn9Si4
_chemical_formula_sum 'La4 Mn36 Si16'
_symmetry_space_group_name_H-M 'I 4/m c m'
_symmetry_Int_Tables_number 140
_symmetry_space_group_name_Hall '-I 4 2c'
_cell_length_a 7.8955
_cell_length_b 7.8955
_cell_length_c 11.6981
_cell_angle_alpha 90.00
_cell_angle_beta 90.00
_cell_angle_gamma 90.00
loop_
_atom_site_label
_atom_site_type_symbol
_atom_site_fract_x
_atom_site_fract_y
_atom_site_fract_z
La1 La 0.0000 0.0000 0.2500
Mn1 Mn 0.0000 0.5000 0.0000
Mn2 Mn 0.0575 0.1914 0.0000
Mn3 Mn 0.1182 0.3818 0.1759
Si1 Si 0.1763 0.3237 0.3791
```

Principal peaks in the range 10 to 90 degrees two-theta, in order of rising 2θ:
- 2θ 22.52, I 20, (2 0 0)
- 2θ 30.57, I 13, (0 0 4)
- 2θ 34.62, I 31, (1 1 4)
- 2θ 35.64, I 26, (2 2 2)
- 2θ 35.97, I 15, (3 1 0)
- 2θ 38.30, I 33, (2 0 4)
- 2θ 39.23, I 100, (3 1 2)
- 2θ 46.57, I 34, (0 0 6)
- 2θ 47.63, I 42, (3 2 3)
- 2θ 48.15, I 26, (4 1 1)
- 2θ 49.52, I 12, (1 1 6)
- 2θ 56.22, I 15, (4 0 4)

***

[2]
Theoretical PXRD pattern
Compound: CaMg12Hg4
Radiation: Cu Ka
Structure: a DFT-relaxed cell (GGA-PBE, Alexandria)
Peak positions follow from Bragg's law for the DFT cell and can differ from measured ones.

Crystal structure
```
data_CaMg12Hg4
_chemical_formula_sum 'Ca2 Mg24 Hg8'
_symmetry_space_group_name_H-M 'I m -3'
_symmetry_Int_Tables_number 204
_symmetry_space_group_name_Hall '-I 2 2 3'
_cell_length_a 9.7894
_cell_length_b 9.7894
_cell_length_c 9.7894
_cell_angle_alpha 90.00
_cell_angle_beta 90.00
_cell_angle_gamma 90.00
loop_
_atom_site_label
_atom_site_type_symbol
_atom_site_fract_x
_atom_site_fract_y
_atom_site_fract_z
Ca1 Ca 0.0000 0.0000 0.0000
Mg1 Mg 0.0000 0.1623 0.3445
Hg1 Hg 0.2500 0.2500 0.2500
```

Principal peaks in the range 10 to 90 degrees two-theta, in order of rising 2θ:
- 2θ 18.12, I 100, (2 0 0)
- 2θ 25.74, I 98, (2 2 0)
- 2θ 31.66, I 32, (2 2 2)
- 2θ 36.72, I 22, (4 0 0)
- 2θ 41.24, I 68, (4 2 0)
- 2θ 45.39, I 61, (4 2 2)
- 2θ 56.39, I 20, (4 4 2)
- 2θ 59.74, I 24, (6 0 2)
- 2θ 62.98, I 19, (6 2 2)
- 2θ 72.22, I 22, (6 2 4)
- 2θ 80.99, I 19, (6 4 4)
- 2θ 83.86, I 18, (6 6 0)

***

[3]
Theoretical PXRD pattern
Compound: KY2RuO8
Radiation: Cu Ka
Structure: a DFT-relaxed cell (GGA-PBE, Alexandria)
Peak positions follow from Bragg's law for the DFT cell and can differ from measured ones.

Crystal structure
```
data_KY2RuO8
_chemical_formula_sum 'K1 Y2 Ru1 O8'
_symmetry_space_group_name_H-M 'P -1'
_symmetry_Int_Tables_number 2
_cell_length_a 4.1165
_cell_length_b 5.2920
_cell_length_c 7.1702
_cell_angle_alpha 89.74
_cell_angle_beta 75.04
_cell_angle_gamma 89.42
loop_
_symmetry_equiv_pos_as_xyz
'x,y,z'
'-x,-y,-z'
loop_
_atom_site_label
_atom_site_type_symbol
_atom_site_fract_x
_atom_site_fract_y
_atom_site_fract_z
K1 K 0.0000 0.0000 0.0000
Y1 Y 0.3821 0.5181 0.2880
Ru1 Ru 0.0000 0.0000 0.5000
O1 O 0.1783 0.4950 0.0033
O2 O 0.1848 0.3217 0.5846
O3 O 0.2103 0.7888 0.6376
O4 O 0.3551 0.9570 0.2703
```

Principal peaks in the range 10 to 90 degrees two-theta, in order of rising 2θ:
- 2θ 12.78, I 100, (0 0 1)
- 2θ 22.73, I 29, (1 0 1)
- 2θ 27.94, I 66, (1 1 0)
- 2θ 28.20, I 44, (1 -1 0)
- 2θ 29.51, I 78, (1 0 2)
- 2θ 30.86, I 78, (0 1 -2)
- 2θ 33.44, I 27, (-1 1 1)
- 2θ 33.88, I 64, (0 2 0)
- 2θ 38.63, I 35, (1 0 -2)
- 2θ 42.72, I 23, (0 1 3)
- 2θ 45.32, I 42, (1 2 2)
- 2θ 45.74, I 32, (1 -2 2)